This entry pairs a crystal structure of Ag3Te8As4 with its calculated powder diffractogram. Radiation: Cu Kα, 1.54184 Å. Structure: a cell relaxed with GGA-PBE.

Atomic structure:
Lattice parameters (Å, degrees): 8.303 8.303 8.284 119.91 119.91 90.03
Sites, in units of the cell vectors:
Ag 0.000 0.000 0.000
Ag 0.000 0.500 0.000
Ag 0.500 0.000 0.000
Te 0.252 0.748 0.000
Te 0.252 0.748 0.500
Te 0.253 0.253 0.004
Te 0.253 0.253 0.502
Te 0.747 0.747 0.498
Te 0.747 0.747 0.996
Te 0.748 0.252 0.000
Te 0.748 0.252 0.500
As 0.000 0.500 0.500
As 0.500 0.000 0.500
As 0.500 0.500 0.000
As 0.500 0.500 0.500

Largest 10 diffraction maxima, sorted by position, 2θ from 10° to 80°:
2θ/deg, I/Imax
26.29, 8
30.45, 100
43.58, 61
43.71, 12
54.03, 13
54.20, 13
63.37, 12
71.80, 5
71.92, 22
79.96, 12